Record 1
Starting from the PBE+U geometry in Alexandria, the powder diffractogram of CsVSnF6 was calculated for CuKα.
Lines closer than 0.1° are merged.

Principal peaks in the range 15 to 90 degrees two-theta, by angle:
- 22.67°, intensity 100.0
- 23.59°, intensity 77.2
- 24.71°, intensity 54.1
- 29.05°, intensity 38.0
- 29.87°, intensity 30.5
- 31.41°, intensity 30.4
- 36.57°, intensity 29.8
- 38.53°, intensity 26.2
- 39.02°, intensity 33.0
- 48.82°, intensity 21.4

Cell and atoms:
a = 5.5303 Å, b = 5.7160 Å, c = 6.0070 Å
α = 116.48°, β = 90.09°, γ = 94.56°
Atoms (fractional coordinates):
Cs  0.0000  0.0000  0.0000
V  0.3644  0.3042  0.6269
Sn  0.5626  0.6962  0.3660
F  0.0663  0.0844  0.5441
F  0.2380  0.5347  0.4726
F  0.2849  0.5193  0.9706
F  0.4792  0.0630  0.2958
F  0.5140  0.0402  0.7208
F  0.6633  0.5319  0.6640

***

Record 2
Starting from the PBE+U geometry in Alexandria, the powder diffractogram of NaNdEuWO6 was calculated for CuKα.
Lines closer than 0.1° are merged.

Principal peaks in the range 15 to 90 degrees two-theta, by angle:
- 18.05°, intensity 18.6
- 20.87°, intensity 18.8
- 29.68°, intensity 100.0
- 34.96°, intensity 10.3
- 42.48°, intensity 30.0
- 47.78°, intensity 7.6
- 52.68°, intensity 40.7
- 61.63°, intensity 18.7
- 69.89°, intensity 18.5
- 85.33°, intensity 21.8

Cell and atoms:
a = 6.0192 Å, b = 6.0192 Å, c = 6.0192 Å
α = 60.00°, β = 60.00°, γ = 60.00°
Atoms (fractional coordinates):
Na  0.0000  0.0000  0.0000
Nd  0.2500  0.2500  0.2500
Eu  0.5000  0.5000  0.5000
W  0.7500  0.7500  0.7500
O  0.5211  0.5211  0.9789
O  0.5211  0.9789  0.5211
O  0.5211  0.9789  0.9789
O  0.9789  0.5211  0.5211
O  0.9789  0.5211  0.9789
O  0.9789  0.9789  0.5211

***

Record 3
Starting from the PBE+U geometry in Alexandria, the powder diffractogram of LiCoPO4 was calculated for CuKα.
Lines closer than 0.1° are merged.

Principal peaks in the range 15 to 90 degrees two-theta, by angle:
- 21.87°, intensity 100.0
- 26.40°, intensity 7.6
- 27.84°, intensity 6.6
- 31.83°, intensity 7.6
- 32.97°, intensity 6.4
- 35.36°, intensity 31.1
- 36.45°, intensity 8.6
- 37.62°, intensity 7.2
- 41.96°, intensity 10.6
- 43.84°, intensity 7.8

Cell and atoms:
a = 10.1485 Å, b = 5.0798 Å, c = 13.5625 Å
α = 90.00°, β = 90.00°, γ = 90.00°
Atoms (fractional coordinates):
Li  0.0320  0.0623  0.0000
Li  0.2136  0.5507  0.2477
Li  0.2864  0.5507  0.7477
Li  0.4680  0.0623  0.5000
Li  0.5320  0.9377  0.0000
Li  0.7136  0.4493  0.2477
Li  0.7864  0.4493  0.7477
Li  0.9680  0.9377  0.5000
Co  0.0314  0.9255  0.7495
Co  0.2171  0.5513  0.9966
Co  0.2829  0.5513  0.4966
Co  0.4686  0.9255  0.2495
Co  0.5314  0.0745  0.7495
Co  0.7171  0.4487  0.9966
Co  0.7829  0.4487  0.4966
Co  0.9686  0.0745  0.2495
P  0.0333  0.4332  0.6228
P  0.2186  0.0517  0.3740
P  0.2814  0.0517  0.8740
P  0.4667  0.4332  0.1228
P  0.5333  0.5668  0.6228
P  0.7186  0.9483  0.3740
P  0.7814  0.9483  0.8740
P  0.9667  0.5668  0.1228
O  0.0054  0.1318  0.6262
O  0.0267  0.4409  0.2172
O  0.0318  0.4496  0.0286
O  0.0675  0.9994  0.3743
O  0.1835  0.4921  0.6202
O  0.2172  0.9352  0.9686
O  0.2231  0.9182  0.7804
O  0.2487  0.3521  0.3724
O  0.2513  0.3521  0.8724
O  0.2769  0.9182  0.2804
O  0.2828  0.9352  0.4686
O  0.3165  0.4921  0.1202
O  0.4325  0.9994  0.8743
O  0.4682  0.4496  0.5286
O  0.4733  0.4409  0.7172
O  0.4946  0.1318  0.1262
O  0.5054  0.8682  0.6262
O  0.5267  0.5591  0.2172
O  0.5318  0.5504  0.0286
O  0.5675  0.0006  0.3743
O  0.6835  0.5079  0.6202
O  0.7172  0.0648  0.9686
O  0.7231  0.0818  0.7804
O  0.7487  0.6479  0.3724
O  0.7513  0.6479  0.8724
O  0.7769  0.0818  0.2804
O  0.7828  0.0648  0.4686
O  0.8165  0.5079  0.1202
O  0.9325  0.0006  0.8743
O  0.9682  0.5504  0.5286
O  0.9733  0.5591  0.7172
O  0.9946  0.8682  0.1262